[1]
Structure and computed X-ray diffraction stick pattern of CsMnTlSe3 (a GGA-PBE-relaxed structure; CuKα).
Neutral-atom scattering factors, no anomalous dispersion.

Top 10 peaks for 2θ = 15–90°, by intensity:
25.08 deg, I 100
25.26 deg, I 72
34.29 deg, I 60
34.84 deg, I 58
33.03 deg, I 50
44.39 deg, I 47
23.38 deg, I 46
42.04 deg, I 34
45.38 deg, I 34
17.48 deg, I 31

```
CsMnTlSe3
1.0
3.8047 -7.2563 0.0000
3.8047 7.2563 0.0000
-0.1099 0.0000 7.0958
Cs Mn Tl Se
2 2 2 6
Direct
0.2357 0.7643 0.7500
0.7643 0.2357 0.2500
0.0459 0.9541 0.2500
0.9541 0.0459 0.7500
0.4084 0.5916 0.2500
0.5916 0.4084 0.7500
0.2074 0.2129 0.5006
0.2104 0.7896 0.2500
0.2129 0.2074 0.0006
0.7871 0.7926 0.9994
0.7896 0.2104 0.7500
0.7926 0.7871 0.4994
```

[2]
Structure and computed X-ray diffraction stick pattern of LaSmBr6 (a GGA-PBE-relaxed structure; CuKα).
Neutral-atom scattering factors, no anomalous dispersion.

Top 10 peaks for 2θ = 15–90°, by intensity:
27.98 deg, I 100
16.65 deg, I 85
36.58 deg, I 76
43.15 deg, I 50
22.71 deg, I 34
47.97 deg, I 22
72.41 deg, I 21
57.82 deg, I 20
74.80 deg, I 18
38.94 deg, I 18

```
LaSmBr6
1.0
3.6312 2.0965 6.6711
-3.6312 2.0965 6.6711
0.0000 -4.1930 6.6711
La Sm Br
1 1 6
Direct
0.0000 0.0000 0.0000
0.5000 0.5000 0.5000
0.0948 0.7449 0.4139
0.2551 0.5861 0.9052
0.4139 0.0948 0.7449
0.5861 0.9052 0.2551
0.7449 0.4139 0.0948
0.9052 0.2551 0.5861
```

[3]
Structure and computed X-ray diffraction stick pattern of Sr4LaCl11 (a GGA-PBE-relaxed structure; CuKα).
Neutral-atom scattering factors, no anomalous dispersion.

Top 10 peaks for 2θ = 15–90°, by intensity:
35.80 deg, I 100
21.83 deg, I 96
36.45 deg, I 49
42.89 deg, I 33
65.18 deg, I 31
41.76 deg, I 18
52.50 deg, I 16
63.91 deg, I 16
56.61 deg, I 14
75.87 deg, I 9

```
Sr4LaCl11
1.0
-2.4651 2.4651 18.0538
2.4651 -2.4651 18.0538
2.4651 2.4651 -18.0538
Sr La Cl
4 1 11
Direct
0.1025 0.1025 0.0000
0.2991 0.2991 0.0000
0.7009 0.7009 0.0000
0.8975 0.8975 0.0000
0.5000 0.5000 0.0000
0.0000 0.0000 0.0000
0.0549 0.5549 0.5000
0.1518 0.6518 0.5000
0.2500 0.7500 0.5000
0.3482 0.8482 0.5000
0.4451 0.9451 0.5000
0.5549 0.0549 0.5000
0.6518 0.1518 0.5000
0.7500 0.2500 0.5000
0.8482 0.3482 0.5000
0.9451 0.4451 0.5000
```

[4]
Structure and computed X-ray diffraction stick pattern of Rb3ReH7 (a GGA-PBE-relaxed structure; CuKα).
Neutral-atom scattering factors, no anomalous dispersion.

Top 10 peaks for 2θ = 15–90°, by intensity:
27.77 deg, I 100
28.60 deg, I 93
29.02 deg, I 90
50.16 deg, I 39
51.67 deg, I 36
17.32 deg, I 32
39.04 deg, I 21
49.32 deg, I 20
49.42 deg, I 20
40.31 deg, I 19

```
Rb3ReH7
1.0
4.2390 -4.4749 0.0000
4.2390 4.4749 0.0000
-4.2263 0.0000 4.6139
Rb Re H
3 1 7
Direct
0.0000 0.0000 0.0000
0.2376 0.7361 0.4969
0.7361 0.2376 0.4969
0.4894 0.4894 0.0013
0.2077 0.4294 0.9901
0.2620 0.2620 0.6243
0.3616 0.7376 0.0118
0.4294 0.2077 0.9901
0.6191 0.6191 0.8734
0.6361 0.6361 0.3781
0.7376 0.3616 0.0118
```

[5]
Structure and computed X-ray diffraction stick pattern of LiAc2TiO5 (a GGA-PBE-relaxed structure; CuKα).
Neutral-atom scattering factors, no anomalous dispersion.

Top 10 peaks for 2θ = 15–90°, by intensity:
31.67 deg, I 100
29.06 deg, I 67
41.44 deg, I 63
27.77 deg, I 47
54.92 deg, I 36
30.14 deg, I 29
61.75 deg, I 26
42.62 deg, I 26
24.79 deg, I 23
17.46 deg, I 21

```
LiAc2TiO5
1.0
7.1843 0.0000 0.0000
0.0000 7.1843 0.0000
0.0000 0.0000 5.9303
Li Ac Ti O
2 4 2 10
Direct
0.0000 0.0000 0.0000
0.5000 0.5000 0.0000
0.1809 0.3191 0.5000
0.3191 0.8191 0.5000
0.6809 0.1809 0.5000
0.8191 0.6809 0.5000
0.0000 0.5000 0.0000
0.5000 0.0000 0.0000
0.0000 0.0000 0.5000
0.1296 0.6296 0.2367
0.1296 0.6296 0.7633
0.3704 0.1296 0.2367
0.3704 0.1296 0.7633
0.5000 0.5000 0.5000
0.6296 0.8704 0.2367
0.6296 0.8704 0.7633
0.8704 0.3704 0.2367
0.8704 0.3704 0.7633
```

[6]
Structure and computed X-ray diffraction stick pattern of Pm6P3Se2 (a GGA-PBE-relaxed structure; CuKα).
Neutral-atom scattering factors, no anomalous dispersion.

Top 10 peaks for 2θ = 15–90°, by intensity:
30.54 deg, I 100
26.45 deg, I 44
43.95 deg, I 37
43.52 deg, I 36
54.46 deg, I 19
71.85 deg, I 15
26.12 deg, I 15
51.84 deg, I 14
72.51 deg, I 11
80.47 deg, I 8

```
Pm6P3Se2
1.0
3.5718 -6.1751 0.0000
3.5718 6.1751 0.0000
-2.3902 0.0000 6.8235
Pm P Se
6 3 2
Direct
0.0751 0.4114 0.2346
0.2529 0.2529 0.7707
0.4114 0.0751 0.2346
0.5886 0.9249 0.7654
0.7471 0.7471 0.2293
0.9249 0.5886 0.7654
0.0000 0.0000 0.0000
0.3311 0.6689 0.0000
0.6689 0.3311 0.0000
0.1658 0.8342 0.5000
0.8342 0.1658 0.5000
```

[7]
Structure and computed X-ray diffraction stick pattern of Sm4CdPt (a GGA-PBE-relaxed structure; CuKα).
Neutral-atom scattering factors, no anomalous dispersion.

Top 10 peaks for 2θ = 15–90°, by intensity:
33.28 deg, I 100
55.76 deg, I 38
31.33 deg, I 37
36.33 deg, I 37
57.02 deg, I 14
85.60 deg, I 14
27.80 deg, I 13
69.51 deg, I 13
66.51 deg, I 13
83.86 deg, I 13

```
Sm4CdPt
1.0
0.0000 6.9941 6.9941
6.9941 0.0000 6.9941
6.9941 6.9941 0.0000
Sm Cd Pt
16 4 4
Direct
0.1858 0.1858 0.8142
0.1858 0.8142 0.1858
0.1858 0.8142 0.8142
0.3987 0.3987 0.3987
0.3987 0.3987 0.8039
0.3987 0.8039 0.3987
0.5586 0.5586 0.9414
0.5586 0.9414 0.5586
0.5586 0.9414 0.9414
0.8039 0.3987 0.3987
0.8142 0.1858 0.1858
0.8142 0.1858 0.8142
0.8142 0.8142 0.1858
0.9414 0.5586 0.5586
0.9414 0.5586 0.9414
0.9414 0.9414 0.5586
0.1689 0.1689 0.1689
0.1689 0.1689 0.4934
0.1689 0.4934 0.1689
0.4934 0.1689 0.1689
0.1796 0.6068 0.6068
0.6068 0.1796 0.6068
0.6068 0.6068 0.1796
0.6068 0.6068 0.6068
```

[8]
Structure and computed X-ray diffraction stick pattern of Tb2YAgC (a GGA-PBE-relaxed structure; CuKα).
Neutral-atom scattering factors, no anomalous dispersion.

Top 10 peaks for 2θ = 15–90°, by intensity:
31.50 deg, I 100
36.35 deg, I 37
62.39 deg, I 28
52.77 deg, I 25
36.91 deg, I 18
63.14 deg, I 13
52.35 deg, I 13
65.77 deg, I 13
86.41 deg, I 11
85.74 deg, I 6

```
Tb2YAgC
1.0
4.9432 0.0000 0.0000
0.0000 4.9432 0.0000
0.0000 0.0000 4.8704
Tb Y Ag C
2 1 1 1
Direct
0.0000 0.5000 0.0000
0.5000 0.0000 0.0000
0.0000 0.0000 0.5000
0.5000 0.5000 0.5013
0.0000 0.0000 0.0008
```

[9]
Structure and computed X-ray diffraction stick pattern of ZnOs2O6 (a GGA-PBE-relaxed structure; CuKα).
Neutral-atom scattering factors, no anomalous dispersion.

Top 10 peaks for 2θ = 15–90°, by intensity:
28.87 deg, I 100
35.67 deg, I 42
55.57 deg, I 36
46.52 deg, I 27
59.97 deg, I 25
20.37 deg, I 16
64.08 deg, I 13
82.80 deg, I 10
67.55 deg, I 9
89.85 deg, I 9

```
ZnOs2O6
1.0
8.7195 0.0000 0.0000
-4.3598 7.5513 0.0000
0.0000 0.0000 4.3879
Zn Os O
3 6 18
Direct
0.0000 0.0000 0.0000
0.3333 0.6667 0.5010
0.6667 0.3333 0.4990
0.0000 0.3229 0.5000
0.0000 0.6566 0.0000
0.3229 0.0000 0.5000
0.3434 0.3434 0.0000
0.6566 0.0000 0.0000
0.6771 0.6771 0.5000
0.1000 0.5426 0.7487
0.1127 0.8792 0.7571
0.1208 0.2335 0.7571
0.2125 0.7799 0.2554
0.2201 0.4326 0.2554
0.2335 0.1208 0.2429
0.4326 0.2201 0.7446
0.4426 0.9000 0.7487
0.4574 0.5574 0.7487
0.5426 0.1000 0.2513
0.5574 0.4574 0.2513
0.5674 0.7875 0.2554
0.7665 0.8873 0.7571
0.7799 0.2125 0.7446
0.7875 0.5674 0.7446
0.8792 0.1127 0.2429
0.8873 0.7665 0.2429
0.9000 0.4426 0.2513
```

[10]
Structure and computed X-ray diffraction stick pattern of NdH2Pd3 (a GGA-PBE-relaxed structure; CuKα).
Neutral-atom scattering factors, no anomalous dispersion.

Top 10 peaks for 2θ = 15–90°, by intensity:
37.73 deg, I 100
34.99 deg, I 71
44.38 deg, I 37
59.63 deg, I 30
73.92 deg, I 27
68.11 deg, I 17
48.51 deg, I 14
78.93 deg, I 13
66.35 deg, I 11
80.58 deg, I 11

```
NdH2Pd3
1.0
5.5065 0.0000 0.0000
-2.7533 4.7688 0.0000
0.0000 0.0000 3.0414
Nd H Pd
1 2 3
Direct
0.0000 0.0000 0.0000
0.3333 0.6667 0.0000
0.6667 0.3333 0.0000
0.0000 0.5000 0.5000
0.5000 0.0000 0.5000
0.5000 0.5000 0.5000
```

[11]
Structure and computed X-ray diffraction stick pattern of ScZn4P (a GGA-PBE-relaxed structure; CuKα).
Neutral-atom scattering factors, no anomalous dispersion.

Top 10 peaks for 2θ = 15–90°, by intensity:
40.68 deg, I 100
42.57 deg, I 63
20.91 deg, I 38
65.98 deg, I 29
72.71 deg, I 27
88.07 deg, I 21
49.56 deg, I 16
34.48 deg, I 12
86.81 deg, I 10
54.36 deg, I 9

```
ScZn4P
1.0
0.0000 3.6784 3.6784
3.6784 0.0000 3.6784
3.6784 3.6784 0.0000
Sc Zn P
1 4 1
Direct
0.0000 0.0000 0.0000
0.1232 0.6256 0.6256
0.6256 0.1232 0.6256
0.6256 0.6256 0.1232
0.6256 0.6256 0.6256
0.2500 0.2500 0.2500
```

[12]
Structure and computed X-ray diffraction stick pattern of Pm4Pr5Y3 (a GGA-PBE-relaxed structure; CuKα).
Neutral-atom scattering factors, no anomalous dispersion.

Top 10 peaks for 2θ = 15–90°, by intensity:
29.59 deg, I 100
31.71 deg, I 77
30.96 deg, I 57
32.86 deg, I 55
28.44 deg, I 47
28.74 deg, I 45
30.35 deg, I 37
32.09 deg, I 35
28.16 deg, I 33
58.77 deg, I 33

```
Pm4Pr5Y3
1.0
8.2759 -3.0192 0.0000
8.2759 3.0192 0.0000
-4.2716 0.0000 8.5201
Pm Pr Y
4 5 3
Direct
0.0829 0.0829 0.4435
0.2185 0.2185 0.8788
0.7815 0.7815 0.1212
0.9171 0.9171 0.5565
0.0000 0.0000 0.0000
0.3275 0.3275 0.6117
0.4253 0.4253 0.2983
0.5747 0.5747 0.7017
0.6725 0.6725 0.3883
0.2081 0.2081 0.2267
0.5000 0.5000 0.0000
0.7919 0.7919 0.7733
```